For CeTmTl, a structure optimized by DFT (PBE) gives the theoretical powder XRD pattern in this record (Cu Kα (weighted mean of Kα1 and Kα2)).
No peak broadening, texture or thermal motion is included.

Structural model:
Cell lengths 5.432, 5.432, 6.582 Å; angles 90.00, 90.00, 120.00 degrees
Element x y z (fractional)
Ce 0.000 0.000 0.000
Ce 0.000 0.000 0.500
Tm 0.333 0.667 0.250
Tm 0.667 0.333 0.750
Tl 0.333 0.667 0.750
Tl 0.667 0.333 0.250

Peak list (10 most intense, 10 to 90 degrees two-theta, in order of rising 2θ)
d [Å]  I (rel.)  (hkl)
2.716  100  1 1 0
2.697  80  1 0 2
2.095  20  1 1 2
1.914  30  2 0 2
1.568  19  3 0 0
1.564  31  2 1 2
1.407  27  1 1 4
1.358  12  2 2 0
1.213  13  3 1 2
1.135  14  3 0 4

For CeY2Tl4, a structure optimized by DFT (PBE) gives the theoretical powder XRD pattern in this record (Cu Kα (weighted mean of Kα1 and Kα2)).
No peak broadening, texture or thermal motion is included.

Structural model:
Cell lengths 5.272, 5.272, 7.703 Å; angles 90.00, 90.00, 90.00 degrees
Element x y z (fractional)
Ce 0.000 0.000 0.000
Y 0.000 0.000 0.500
Y 0.500 0.500 0.000
Tl 0.000 0.500 0.272
Tl 0.000 0.500 0.728
Tl 0.500 0.000 0.272
Tl 0.500 0.000 0.728

Peak list (10 most intense, 10 to 90 degrees two-theta, in order of rising 2θ)
d [Å]  I (rel.)  (hkl)
3.851  10  0 0 2
3.728  22  1 1 0
3.355  9  1 1 1
2.679  100  1 1 2
2.636  50  2 0 0
2.175  10  2 0 2
1.864  18  2 2 0
1.555  16  2 0 4
1.530  37  3 1 2
1.339  10  2 2 4

For Ce3YTl3, a structure optimized by DFT (PBE) gives the theoretical powder XRD pattern in this record (Cu Kα (weighted mean of Kα1 and Kα2)).
No peak broadening, texture or thermal motion is included.

Structural model:
Cell lengths 9.554, 9.554, 5.080 Å; angles 90.00, 90.00, 120.00 degrees
Element x y z (fractional)
Ce 0.004 0.779 0.250
Ce 0.221 0.225 0.250
Ce 0.225 0.004 0.750
Ce 0.775 0.996 0.250
Ce 0.779 0.775 0.750
Ce 0.996 0.221 0.750
Y 0.333 0.667 0.250
Y 0.667 0.333 0.750
Tl 0.075 0.615 0.750
Tl 0.385 0.460 0.750
Tl 0.460 0.075 0.250
Tl 0.540 0.925 0.750
Tl 0.615 0.540 0.250
Tl 0.925 0.385 0.250

Peak list (10 most intense, 10 to 90 degrees two-theta, in order of rising 2θ)
d [Å]  I (rel.)  (hkl)
3.127  24  1 2 0
2.663  100  1 2 1
2.540  21  0 0 2
1.972  13  1 2 2
1.805  15  4 1 0
1.494  10  2 4 1
1.489  17  1 2 3
1.472  16  4 1 2
1.331  6  2 4 2
1.151  8  5 3 1

For Ce5Tl3Zn3, a structure optimized by DFT (PBE) gives the theoretical powder XRD pattern in this record (Cu Kα (weighted mean of Kα1 and Kα2)).
No peak broadening, texture or thermal motion is included.

Structural model:
Cell lengths 10.037, 10.037, 3.245 Å; angles 90.00, 90.00, 120.00 degrees
Element x y z (fractional)
Ce 0.000 0.650 0.000
Ce 0.333 0.667 0.000
Ce 0.350 0.350 0.000
Ce 0.650 0.000 0.000
Ce 0.667 0.333 0.000
Tl 0.000 0.369 0.500
Tl 0.369 0.000 0.500
Tl 0.631 0.631 0.500
Zn 0.000 0.142 0.000
Zn 0.142 0.000 0.000
Zn 0.858 0.858 0.000

Peak list (10 most intense, 10 to 90 degrees two-theta, in order of rising 2θ)
d [Å]  I (rel.)  (hkl)
5.019  13  1 1 0
2.898  91  3 0 0
2.725  100  1 1 1
2.411  25  3 1 0
2.309  21  2 1 1
1.985  45  2 2 1
1.673  13  3 3 0
1.638  22  4 1 1
1.466  12  4 2 1
1.416  21  3 0 2